Record 1
Starting from a crystal structure in the Materials Project, relaxed with PBE, the PXRD pattern of ReCNCl3O2 was computed for Cu Kα.
Lines closer than 0.1° are merged.

Largest 10 diffraction maxima, sorted by position, 10° ≤ 2θ ≤ 80°:
11.27 deg, intensity 50, hkl 0 0 2
11.67 deg, intensity 44, hkl 2 0 0
11.99 deg, intensity 100, hkl 1 1 0
12.42 deg, intensity 18, hkl 2 0 -2
14.72 deg, intensity 34, hkl 1 1 -2
18.08 deg, intensity 38, hkl 1 1 2
20.47 deg, intensity 18, hkl 3 1 0
21.02 deg, intensity 14, hkl 0 2 0
24.50 deg, intensity 12, hkl 2 2 -2
32.34 deg, intensity 11, hkl 1 3 0

Atomic structure:
```
data_ReCNCl3O2
_cell_length_a 16.662
_cell_length_b 8.453
_cell_length_c 17.260
_cell_angle_alpha 90.00
_cell_angle_beta 114.49
_cell_angle_gamma 90.00
_space_group_name_H-M_alt 'C 1 2/c 1'
_space_group_IT_number 15
loop_
_space_group_symop_operation_xyz
'x,y,z'
'-x,-y,-z'
'-x,y,-z+1/2'
'x,-y,z+1/2'
'x+1/2,y+1/2,z'
'-x+1/2,-y+1/2,-z'
'-x+1/2,y+1/2,-z+1/2'
'x+1/2,-y+1/2,z+1/2'
loop_
_atom_site_label
_atom_site_fract_x
_atom_site_fract_y
_atom_site_fract_z
Re1 0.045 0.025 0.216
C1 0.159 0.434 0.409
N1 0.136 0.264 0.616
Cl1 0.043 0.073 0.913
Cl2 0.057 0.273 0.172
Cl3 0.167 0.099 0.805
O1 0.123 0.443 0.455
O2 0.195 0.425 0.364
```

=====

Record 2
Starting from a crystal structure in the Materials Project, relaxed with PBE, the PXRD pattern of ReC4S4N8Cl8O3 was computed for Cu Kα.
Lines closer than 0.1° are merged.

Largest 10 diffraction maxima, sorted by position, 10° ≤ 2θ ≤ 80°:
11.19 deg, intensity 100, hkl 1 1 1
12.90 deg, intensity 66, hkl 0 2 1
14.41 deg, intensity 44, hkl 1 1 2
15.92 deg, intensity 26, hkl 2 0 0
18.60 deg, intensity 51, hkl 1 1 3
19.44 deg, intensity 29, hkl 1 3 0
20.54 deg, intensity 30, hkl 2 2 1
28.77 deg, intensity 41, hkl 1 3 4
34.78 deg, intensity 25, hkl 4 2 1
40.97 deg, intensity 23, hkl 1 5 5

Atomic structure:
```
data_ReC4S4N8Cl8O3
_cell_length_a 11.136
_cell_length_b 15.020
_cell_length_c 16.922
_cell_angle_alpha 90.00
_cell_angle_beta 90.00
_cell_angle_gamma 90.00
_space_group_name_H-M_alt 'C m c m'
_space_group_IT_number 63
_space_group_name_Hall '-C 2c 2'
loop_
_atom_site_label
_atom_site_fract_x
_atom_site_fract_y
_atom_site_fract_z
Re1 0.000 0.150 0.250
C1 0.175 0.160 0.555
S1 0.118 0.485 0.553
N1 0.162 0.151 0.017
N2 0.192 0.167 0.627
Cl1 0.000 0.042 0.155
Cl2 0.000 0.258 0.154
Cl3 0.000 0.339 0.596
Cl4 0.206 0.151 0.250
O1 0.000 0.492 0.750
O2 0.099 0.464 0.250
```